Starting from a crystal structure in OQMD, relaxed with PBE, the PXRD pattern of Cu7Ag2 was calculated for Cu Ka.
Neutral-atom scattering factors, no anomalous dispersion.

Structure:
```
Cu7Ag2
1.0
4.3791 -1.3493 0.0000
4.3791 1.3493 0.0000
-4.2613 0.0000 10.0372
Cu Ag
7 2
direct
0.0000 0.0000 0.0000
0.1158 0.1158 0.4547
0.2295 0.2295 0.8951
0.3428 0.3428 0.3397
0.6572 0.6572 0.6603
0.7705 0.7705 0.1049
0.8842 0.8842 0.5453
0.4421 0.4421 0.7740
0.5579 0.5579 0.2260
```

Top 10 peaks for 2θ = 10–90°, in order of rising 2θ:
2θ/deg	intensity
41.6	100.0
41.7	49.5
42.1	48.0
48.0	65.1
49.7	27.7
69.7	11.1
71.3	17.6
71.9	17.0
84.6	11.1
84.9	11.1

Starting from a crystal structure in OQMD, relaxed with PBE, the PXRD pattern of Pr2Cu2SbAsP2 was calculated for Cu Ka.
Neutral-atom scattering factors, no anomalous dispersion.

Structure:
```
Pr2Cu2SbAsP2
1.0
3.9990 0.0000 0.0000
0.0000 3.9990 0.0000
0.0000 0.0000 10.2505
Pr Cu Sb As P
2 2 1 1 2
direct
0.0000 0.5000 0.2442
0.5000 0.0000 0.7558
0.0000 0.0000 0.0000
0.5000 0.5000 0.0000
0.5000 0.5000 0.5000
0.0000 0.0000 0.5000
0.0000 0.5000 0.8624
0.5000 0.0000 0.1376
```

Top 10 peaks for 2θ = 10–90°, in order of rising 2θ:
2θ/deg	intensity
23.9	42.2
34.5	29.0
35.0	21.8
36.3	100.0
45.4	30.8
50.0	11.4
58.2	12.7
58.6	19.3
63.6	16.3
77.8	20.7

Starting from a crystal structure in OQMD, relaxed with PBE, the PXRD pattern of SmDyNi8B2 was calculated for Cu Ka.
Neutral-atom scattering factors, no anomalous dispersion.

Structure:
```
SmDyNi8B2
1.0
5.0182 0.0000 0.0000
-2.5091 4.3459 0.0000
0.0000 0.0000 6.9819
Sm Dy Ni B
1 1 8 2
direct
0.0000 0.0000 0.0000
0.0000 0.0000 0.5000
0.0000 0.5000 0.2089
0.0000 0.5000 0.7911
0.3333 0.6667 0.5000
0.5000 0.0000 0.2089
0.5000 0.0000 0.7911
0.5000 0.5000 0.2089
0.5000 0.5000 0.7911
0.6667 0.3333 0.5000
0.3333 0.6667 0.0000
0.6667 0.3333 0.0000
```

Top 10 peaks for 2θ = 10–90°, in order of rising 2θ:
2θ/deg	intensity
32.9	88.0
35.8	30.4
41.6	74.5
44.5	100.0
52.4	13.4
62.5	27.8
65.1	14.8
69.0	15.6
70.4	24.3
75.8	21.0

Starting from a crystal structure in OQMD, relaxed with PBE, the PXRD pattern of GdGeH2O4 was calculated for Cu Ka.
Neutral-atom scattering factors, no anomalous dispersion.

Structure:
```
GdGeH2O4
1.0
0.0000 5.1069 3.4300
5.0476 0.0000 3.4300
5.0476 5.1069 0.0000
Gd Ge H O
2 2 4 8
direct
0.0000 0.0000 0.0000
0.2500 0.2500 0.2500
0.5327 0.5327 0.4673
0.7827 0.7827 0.7173
0.1451 0.5791 0.8334
0.4166 0.8076 0.1049
0.5791 0.1451 0.4424
0.8076 0.4166 0.6709
0.0250 0.8979 0.7207
0.2425 0.4043 0.8641
0.3859 0.7609 0.0075
0.4043 0.2425 0.4891
0.5293 0.8936 0.2250
0.7609 0.3859 0.8457
0.8936 0.5293 0.3521
0.8979 0.0250 0.3564
```

Top 10 peaks for 2θ = 10–90°, in order of rising 2θ:
2θ/deg	intensity
17.9	28.7
24.8	100.0
31.4	46.2
31.5	47.3
35.1	17.3
35.6	15.8
47.9	40.1
48.2	38.5
50.9	13.8
59.8	15.9

Starting from a crystal structure in OQMD, relaxed with PBE, the PXRD pattern of CdCu17 was calculated for Cu Ka.
Neutral-atom scattering factors, no anomalous dispersion.

Structure:
```
CdCu17
1.0
5.0933 0.0000 0.0000
-2.5466 4.4109 0.0000
0.0000 0.0000 31.2738
Cd Cu
2 34
direct
0.3333 0.6667 0.2944
0.6667 0.3333 0.7056
0.0000 0.0000 0.0000
0.0000 0.0000 0.1992
0.0000 0.0000 0.8008
0.0000 0.5000 0.0000
0.0012 0.5006 0.1998
0.1665 0.3330 0.9334
0.1665 0.8335 0.9334
0.1667 0.3333 0.7345
0.1669 0.3337 0.1331
0.1669 0.8331 0.1331
0.1667 0.8333 0.7345
0.3330 0.1665 0.0666
0.3333 0.1667 0.2655
0.3333 0.6667 0.0664
0.3333 0.6667 0.8670
0.3337 0.1669 0.8669
0.4994 0.5006 0.1998
0.4994 0.9988 0.1998
0.5000 0.0000 0.0000
0.5000 0.5000 0.0000
0.5006 0.0012 0.8002
0.5006 0.4994 0.8002
0.6663 0.8331 0.1331
0.6667 0.3333 0.1330
0.6667 0.3333 0.9336
0.6667 0.8333 0.7345
0.6670 0.8335 0.9334
0.8333 0.1667 0.2655
0.8331 0.1669 0.8669
0.8331 0.6663 0.8669
0.8333 0.6667 0.2655
0.8335 0.1665 0.0666
0.8335 0.6670 0.0666
0.9988 0.4994 0.8002
```

Top 10 peaks for 2θ = 10–90°, in order of rising 2θ:
2θ/deg	intensity
11.3	16.0
40.4	12.6
42.6	35.4
43.4	24.8
43.5	100.0
44.6	20.4
48.9	24.0
50.6	53.2
74.4	12.9
74.5	27.4

Starting from a crystal structure in OQMD, relaxed with PBE, the PXRD pattern of DyY2Ni2B2C3 was calculated for Cu Ka.
Neutral-atom scattering factors, no anomalous dispersion.

Structure:
```
DyY2Ni2B2C3
1.0
-1.7923 1.7923 10.1932
1.7923 -1.7923 10.1932
1.7923 1.7923 -10.1932
Dy Y Ni B C
1 2 2 2 3
direct
0.0000 0.0000 0.0000
0.3771 0.3771 0.0000
0.6229 0.6229 0.0000
0.2500 0.7500 0.5000
0.7500 0.2500 0.5000
0.1963 0.1963 0.0000
0.8037 0.8037 0.0000
0.1235 0.1235 0.0000
0.5000 0.5000 0.0000
0.8765 0.8765 0.0000
```

Top 10 peaks for 2θ = 10–90°, in order of rising 2θ:
2θ/deg	intensity
28.1	100.0
33.3	90.9
35.2	56.9
35.4	31.3
36.5	74.7
44.6	41.3
51.0	42.7
59.2	26.6
62.2	30.1
63.5	38.4

Starting from a crystal structure in OQMD, relaxed with PBE, the PXRD pattern of NdSm2Fe2B2N3 was calculated for Cu Ka.
Neutral-atom scattering factors, no anomalous dispersion.

Structure:
```
NdSm2Fe2B2N3
1.0
-1.7748 1.7748 10.3909
1.7748 -1.7748 10.3909
1.7748 1.7748 -10.3909
Nd Sm Fe B N
1 2 2 2 3
direct
0.0000 0.0000 0.0000
0.3752 0.3752 0.0000
0.6248 0.6248 0.0000
0.2500 0.7500 0.5000
0.7500 0.2500 0.5000
0.1897 0.1897 0.0000
0.8103 0.8103 0.0000
0.1188 0.1188 0.0000
0.5000 0.5000 0.0000
0.8812 0.8812 0.0000
```

Top 10 peaks for 2θ = 10–90°, in order of rising 2θ:
2θ/deg	intensity
28.3	100.0
33.2	78.8
34.5	54.0
35.8	41.6
36.8	37.6
39.9	34.1
51.5	37.0
59.8	26.5
62.6	26.3
63.5	35.0

Starting from a crystal structure in OQMD, relaxed with PBE, the PXRD pattern of Gd3Zr4 was calculated for Cu Ka.
Neutral-atom scattering factors, no anomalous dispersion.

Structure:
```
Gd3Zr4
1.0
8.9908 0.0000 0.0000
-4.4954 7.7862 0.0000
0.0000 0.0000 5.3353
Gd Zr
6 8
direct
0.0571 0.8002 0.2500
0.1998 0.2569 0.2500
0.2569 0.0571 0.7500
0.7431 0.9429 0.2500
0.8002 0.7431 0.7500
0.9429 0.1998 0.7500
0.1073 0.6077 0.7500
0.3333 0.6667 0.2500
0.3923 0.4996 0.7500
0.4996 0.1073 0.2500
0.5004 0.8927 0.7500
0.6077 0.5004 0.2500
0.6667 0.3333 0.7500
0.8927 0.3923 0.2500
```

Top 10 peaks for 2θ = 10–90°, in order of rising 2θ:
2θ/deg	intensity
25.9	7.2
30.4	24.3
33.6	25.8
34.8	100.0
45.9	15.4
54.0	17.3
60.9	19.5
65.1	19.5
65.8	13.0
85.7	6.4

Starting from a crystal structure in OQMD, relaxed with PBE, the PXRD pattern of Gd3Ge2 was calculated for Cu Ka.
Neutral-atom scattering factors, no anomalous dispersion.

Structure:
```
Gd3Ge2
1.0
7.6650 0.0000 0.0000
0.0000 7.6650 0.0000
0.0000 0.0000 4.2659
Gd Ge
6 4
direct
0.0000 0.0000 0.0000
0.1737 0.3263 0.5000
0.3263 0.8263 0.5000
0.5000 0.5000 0.0000
0.6737 0.1737 0.5000
0.8263 0.6737 0.5000
0.1227 0.6227 0.0000
0.3773 0.1227 0.0000
0.6227 0.8773 0.0000
0.8773 0.3773 0.0000
```

Top 10 peaks for 2θ = 10–90°, in order of rising 2θ:
2θ/deg	intensity
26.6	17.0
31.4	62.2
33.1	15.8
33.5	100.0
37.1	47.7
42.4	22.8
53.8	15.3
55.2	17.0
57.6	26.6
71.9	15.0

Starting from a crystal structure in OQMD, relaxed with PBE, the PXRD pattern of Gd2DyTm3OsS2 was calculated for Cu Ka.
Neutral-atom scattering factors, no anomalous dispersion.

Structure:
```
Gd2DyTm3OsS2
1.0
3.9607 0.0000 0.0000
0.0000 6.7840 3.8761
0.0000 -6.7840 3.8761
Gd Dy Tm Os S
2 1 3 1 2
direct
0.0000 0.2046 0.7954
0.0000 0.7954 0.2046
0.0000 0.3903 0.3903
0.5000 0.0425 0.0425
0.5000 0.5458 0.7960
0.5000 0.7960 0.5458
0.0000 0.7891 0.7891
0.5000 0.1279 0.4623
0.5000 0.4623 0.1279
```

Top 10 peaks for 2θ = 10–90°, in order of rising 2θ:
2θ/deg	intensity
13.2	39.6
32.2	93.7
32.3	42.7
34.8	39.5
35.0	100.0
35.2	25.5
35.4	27.4
40.2	22.3
45.8	30.1
59.0	22.4

Copy entry 7 word for word.
Starting from a crystal structure in OQMD, relaxed with PBE, the PXRD pattern of NdSm2Fe2B2N3 was calculated for Cu Ka.
Neutral-atom scattering factors, no anomalous dispersion.

Structure:
```
NdSm2Fe2B2N3
1.0
-1.7748 1.7748 10.3909
1.7748 -1.7748 10.3909
1.7748 1.7748 -10.3909
Nd Sm Fe B N
1 2 2 2 3
direct
0.0000 0.0000 0.0000
0.3752 0.3752 0.0000
0.6248 0.6248 0.0000
0.2500 0.7500 0.5000
0.7500 0.2500 0.5000
0.1897 0.1897 0.0000
0.8103 0.8103 0.0000
0.1188 0.1188 0.0000
0.5000 0.5000 0.0000
0.8812 0.8812 0.0000
```

Top 10 peaks for 2θ = 10–90°, in order of rising 2θ:
2θ/deg	intensity
28.3	100.0
33.2	78.8
34.5	54.0
35.8	41.6
36.8	37.6
39.9	34.1
51.5	37.0
59.8	26.5
62.6	26.3
63.5	35.0